For Fe3Cu4, a cell relaxed with GGA-PBE gives the simulated X-ray powder pattern in this record (a wavelength of 1.5418 Å).
Intensities are scaled so that the largest is 100.

Cell and atoms:
Lattice parameters (Å, degrees): 9.7974 9.7974 9.7974 162.62 162.62 24.68
Positions (direct):
Fe1 0.0000 0.0000 0.0000
Fe2 0.2831 0.2831 0.0000
Fe3 0.7169 0.7169 0.0000
Cu1 0.1422 0.1422 0.0000
Cu2 0.4279 0.4279 0.0000
Cu3 0.5721 0.5721 0.0000
Cu4 0.8578 0.8578 0.0000

Largest 5 diffraction maxima, in order of rising 2θ, 2θ = 5–70°:
2θ (°)	I (rel.)
33.4	1
43.2	57
45.1	100
62.8	17
68.6	6